Computed powder XRD pattern
Compound: CsVH12C4O14
Radiation: CuKα
Structure: the PBE+U geometry in Alexandria
Peak positions follow from Bragg's law for the DFT cell and can differ from measured ones.

Largest 10 diffraction maxima, by angle, 2θ from 10° to 90°:
d (Å), two_theta, intensity, h k l
5.428, 16.33, 1000, 1 1 -1
4.799, 18.49, 402, 1 1 1
3.746, 23.75, 230, 0 2 0
3.225, 27.66, 287, 1 1 -3
3.166, 28.19, 209, 2 0 -3
3.056, 29.23, 194, 0 2 2
2.904, 30.79, 359, 2 2 -1
2.890, 30.94, 298, 3 1 -1
2.831, 31.60, 389, 1 1 3
2.319, 38.84, 168, 1 3 1

Atomic structure:
Cell lengths 9.4166, 7.4913, 10.8555 Å; angles 90.00, 103.28, 90.00 degrees
Space group C2/m (No. 12)
Symmetry-distinct sites (fractional):
Cs: 0.0000 0.0000 0.0000
V: 0.0000 0.5000 0.5000
H: 0.0087 0.1065 0.3527
H: 0.2064 0.5000 0.3675
H: 0.2078 0.0000 0.4741
H: 0.2325 0.3931 0.1910
C: 0.1401 0.3961 0.7534
O: 0.0711 0.0000 0.3536
O: 0.0731 0.3246 0.6470
O: 0.1897 0.5000 0.2229
O: 0.1965 0.5000 0.4599
O: 0.2026 0.3120 0.8494